1.
RbBi2CI: calculated PXRD pattern (Cu Kα, 1.54184 Å), based on a GGA-PBE-relaxed structure.
Kinematic intensities with the Lorentz-polarization factor, no thermal factor.

The 10 most intense peaks (15° ≤ 2θ ≤ 90°), in order of falling intensity:
27.32°, I = 100; 18.31°, I = 70; 38.08°, I = 42; 41.27°, I = 36; 36.66°, I = 25; 60.47°, I = 22; 53.15°, I = 17; 66.95°, I = 17; 54.22°, I = 15; 56.37°, I = 15

Structural model:
abc: 4.903 4.903 9.691
angles: 90.00 90.00 90.00
Element x y z (fractional)
Rb1 0.000 0.000 0.000
Bi1 0.000 0.500 0.500
Bi2 0.500 0.000 0.500
C1 0.500 0.500 0.500
I1 0.500 0.500 0.000



2.
LiEr3Cu2: calculated PXRD pattern (Cu Kα, 1.54184 Å), based on a GGA-PBE-relaxed structure.
Kinematic intensities with the Lorentz-polarization factor, no thermal factor.

The 10 most intense peaks (15° ≤ 2θ ≤ 90°), in order of falling intensity:
36.11°, I = 100; 36.49°, I = 52; 25.58°, I = 39; 65.43°, I = 35; 25.05°, I = 18; 52.56°, I = 18; 44.77°, I = 16; 64.67°, I = 15; 76.60°, I = 9; 88.87°, I = 8

Structural model:
abc: 3.482 3.482 10.666
angles: 90.00 90.00 90.00
Element x y z (fractional)
Li1 0.000 0.000 0.000
Er1 0.500 0.500 0.185
Er2 0.500 0.500 0.500
Er3 0.500 0.500 0.815
Cu1 0.000 0.000 0.335
Cu2 0.000 0.000 0.665



3.
BeTl2GaSe4: calculated PXRD pattern (Cu Kα, 1.54184 Å), based on a GGA-PBE-relaxed structure.
Kinematic intensities with the Lorentz-polarization factor, no thermal factor.

The 10 most intense peaks (15° ≤ 2θ ≤ 90°), in order of falling intensity:
27.28°, I = 100; 30.32°, I = 61; 45.98°, I = 38; 49.32°, I = 32; 36.27°, I = 29; 16.24°, I = 20; 33.44°, I = 19; 39.98°, I = 19; 57.06°, I = 14; 25.43°, I = 13

Structural model:
abc: 6.589 6.589 7.005
angles: 122.05 122.05 82.63
Element x y z (fractional)
Be1 0.000 0.000 0.000
Tl1 0.501 0.499 0.000
Tl2 0.751 0.249 0.500
Ga1 0.250 0.750 0.500
Se1 0.119 0.353 0.078
Se2 0.274 0.042 0.395
Se3 0.647 0.881 0.922
Se4 0.958 0.726 0.605



4.
Sc3VOs4: calculated PXRD pattern (Cu Kα, 1.54184 Å), based on a GGA-PBE-relaxed structure.
Kinematic intensities with the Lorentz-polarization factor, no thermal factor.

The 10 most intense peaks (15° ≤ 2θ ≤ 90°), in order of falling intensity:
40.00°, I = 100; 40.75°, I = 50; 28.51°, I = 47; 73.67°, I = 33; 27.46°, I = 23; 49.85°, I = 20; 59.00°, I = 17; 72.13°, I = 15; 66.81°, I = 9; 86.32°, I = 9

Structural model:
abc: 3.131 3.131 12.991
angles: 90.00 90.00 90.00
Element x y z (fractional)
Sc1 0.000 0.000 0.000
Sc2 0.000 0.000 0.253
Sc3 0.000 0.000 0.747
V1 0.000 0.000 0.500
Os1 0.500 0.500 0.129
Os2 0.500 0.500 0.390
Os3 0.500 0.500 0.610
Os4 0.500 0.500 0.871



5.
SrDy5Se6: calculated PXRD pattern (Cu Kα, 1.54184 Å), based on a GGA-PBE-relaxed structure.
Kinematic intensities with the Lorentz-polarization factor, no thermal factor.

The 10 most intense peaks (15° ≤ 2θ ≤ 90°), in order of falling intensity:
30.65°, I = 100; 43.78°, I = 37; 44.02°, I = 37; 54.59°, I = 19; 72.28°, I = 17; 72.64°, I = 16; 26.51°, I = 13; 63.83°, I = 12; 80.74°, I = 8; 80.90°, I = 8

Structural model:
abc: 7.128 7.128 7.178
angles: 99.54 99.54 120.08
Element x y z (fractional)
Sr1 0.000 0.000 0.000
Dy1 0.161 0.839 0.500
Dy2 0.333 0.667 0.000
Dy3 0.500 0.500 0.500
Dy4 0.667 0.333 0.000
Dy5 0.839 0.161 0.500
Se1 0.086 0.429 0.258
Se2 0.259 0.259 0.750
Se3 0.429 0.086 0.258
Se4 0.571 0.914 0.742
Se5 0.741 0.741 0.250
Se6 0.914 0.571 0.742



6.
In4CuSbS8: calculated PXRD pattern (Cu Kα, 1.54184 Å), based on a GGA-PBE-relaxed structure.
Kinematic intensities with the Lorentz-polarization factor, no thermal factor.

The 10 most intense peaks (15° ≤ 2θ ≤ 90°), in order of falling intensity:
27.04°, I = 100; 32.81°, I = 46; 46.90°, I = 45; 47.27°, I = 44; 27.22°, I = 35; 43.04°, I = 23; 42.94°, I = 21; 65.48°, I = 16; 22.95°, I = 15; 87.41°, I = 14

Structural model:
abc: 7.691 7.691 7.691
angles: 60.50 60.50 60.50
Element x y z (fractional)
In1 0.000 0.000 0.000
In2 0.141 0.617 0.617
In3 0.617 0.141 0.617
In4 0.617 0.617 0.141
Cu1 0.247 0.247 0.247
Sb1 0.617 0.617 0.617
S1 0.370 0.370 0.871
S2 0.370 0.871 0.370
S3 0.376 0.376 0.376
S4 0.396 0.871 0.871
S5 0.864 0.864 0.864
S6 0.871 0.370 0.370
S7 0.871 0.396 0.871
S8 0.871 0.871 0.396